Computed powder X-ray diffraction pattern
Compound: VPO5
Radiation: Cu Kα (λ = 1.5418 Å)
Structure: a structure optimized by DFT (GGA+U)

```
data_VPO5
_cell_length_a 6.252
_cell_length_b 6.252
_cell_length_c 4.659
_cell_angle_alpha 90.00
_cell_angle_beta 90.00
_cell_angle_gamma 90.00
_symmetry_space_group_name_H-M 'P 1'
_symmetry_Int_Tables_number 1
loop_
_symmetry_equiv_pos_as_xyz
'x,y,z'
loop_
_atom_site_label
_atom_site_type_symbol
_atom_site_fract_x
_atom_site_fract_y
_atom_site_fract_z
V1 V 0.250 0.250 0.109
V2 V 0.750 0.750 0.891
P1 P 0.250 0.750 0.000
P2 P 0.750 0.250 0.000
O1 O 0.050 0.750 0.804
O2 O 0.250 0.250 0.765
O3 O 0.250 0.550 0.196
O4 O 0.250 0.950 0.196
O5 O 0.450 0.750 0.804
O6 O 0.550 0.250 0.196
O7 O 0.750 0.050 0.804
O8 O 0.750 0.450 0.804
O9 O 0.750 0.750 0.235
O10 O 0.950 0.250 0.196
```

Peak list (10 most intense, 2θ = 15–90°, in order of falling intensity)
- 19.05°, I 1000
- 28.56°, I 842
- 34.55°, I 480
- 23.82°, I 339
- 41.36°, I 188
- 47.82°, I 156
- 59.11°, I 145
- 45.42°, I 114
- 59.52°, I 107
- 69.20°, I 105